[1]
This entry pairs a crystal structure of Nd2Be2Si3 with its simulated X-ray diffraction stick pattern. Radiation: Cu Kα, 1.54184 Å. Structure: DFT lattice parameters and positions (GGA-PBE).
Kinematic intensities with the Lorentz-polarization factor, no thermal factor.

Structure:
Lattice parameters (Å, degrees): 9.506 9.506 6.788 90.00 90.00 155.53
Fractional coordinates of all 14 atoms:
Nd (0.046, 0.954, 0.750)
Nd (0.171, 0.829, 0.250)
Nd (0.829, 0.171, 0.750)
Nd (0.954, 0.046, 0.250)
Be (0.337, 0.663, 0.095)
Be (0.337, 0.663, 0.405)
Be (0.663, 0.337, 0.595)
Be (0.663, 0.337, 0.905)
Si (0.205, 0.795, 0.750)
Si (0.439, 0.561, 0.576)
Si (0.439, 0.561, 0.924)
Si (0.561, 0.439, 0.076)
Si (0.561, 0.439, 0.424)
Si (0.795, 0.205, 0.250)

The 6 most intense peaks (2θ = 10–90°), by intensity:
2θ = 35.4°, I 1000
2θ = 34.9°, I 750
2θ = 23.2°, I 721
2θ = 26.2°, I 573
2θ = 22.6°, I 427
2θ = 29.5°, I 310

=====

[2]
This entry pairs a crystal structure of NaTlCd2F8 with its simulated X-ray diffraction stick pattern. Radiation: Cu Kα, 1.54184 Å. Structure: DFT lattice parameters and positions (GGA-PBE).
Kinematic intensities with the Lorentz-polarization factor, no thermal factor.

Structure:
Lattice parameters (Å, degrees): 3.992 5.484 7.628 90.00 90.00 90.00
Fractional coordinates of all 12 atoms:
Na (0.000, 0.000, 0.000)
Tl (0.000, 0.000, 0.500)
Cd (0.500, 0.500, 0.237)
Cd (0.500, 0.500, 0.763)
F (0.000, 0.251, 0.269)
F (0.000, 0.251, 0.731)
F (0.000, 0.749, 0.269)
F (0.000, 0.749, 0.731)
F (0.500, 0.244, 0.500)
F (0.500, 0.254, 0.000)
F (0.500, 0.746, 0.000)
F (0.500, 0.756, 0.500)

The 6 most intense peaks (2θ = 10–90°), by intensity:
2θ = 27.6°, I 1000
2θ = 28.5°, I 923
2θ = 46.7°, I 819
2θ = 11.6°, I 472
2θ = 19.9°, I 408
2θ = 45.4°, I 363

=====

[3]
This entry pairs a crystal structure of MgZrVIr with its simulated X-ray diffraction stick pattern. Radiation: Cu Kα, 1.54184 Å. Structure: DFT lattice parameters and positions (GGA-PBE).
Kinematic intensities with the Lorentz-polarization factor, no thermal factor.

Structure:
Lattice parameters (Å, degrees): 4.596 4.596 4.596 60.00 60.00 60.00
Fractional coordinates of all 4 atoms:
Mg (0.000, 0.000, 0.000)
Zr (0.500, 0.500, 0.500)
V (0.750, 0.750, 0.750)
Ir (0.250, 0.250, 0.250)

The 6 most intense peaks (2θ = 10–90°), by intensity:
2θ = 39.2°, I 1000
2θ = 23.7°, I 447
2θ = 71.1°, I 336
2θ = 46.3°, I 238
2θ = 56.6°, I 168
2θ = 27.4°, I 143

=====

[4]
This entry pairs a crystal structure of Ag7Pd5 with its simulated X-ray diffraction stick pattern. Radiation: Cu Kα, 1.54184 Å. Structure: DFT lattice parameters and positions (GGA-PBE).
Kinematic intensities with the Lorentz-polarization factor, no thermal factor.

Structure:
Lattice parameters (Å, degrees): 5.096 5.096 9.951 105.53 105.53 55.41
Fractional coordinates of all 12 atoms:
Ag (0.000, 0.000, 0.000)
Ag (0.085, 0.085, 0.751)
Ag (0.167, 0.167, 0.500)
Ag (0.418, 0.418, 0.752)
Ag (0.582, 0.582, 0.248)
Ag (0.833, 0.833, 0.500)
Ag (0.915, 0.915, 0.249)
Pd (0.251, 0.251, 0.249)
Pd (0.332, 0.332, 0.000)
Pd (0.500, 0.500, 0.500)
Pd (0.668, 0.668, 0.000)
Pd (0.749, 0.749, 0.751)

The 6 most intense peaks (2θ = 10–90°), by intensity:
2θ = 40.3°, I 1000
2θ = 38.0°, I 593
2θ = 70.1°, I 365
2θ = 54.8°, I 197
2θ = 74.8°, I 152
2θ = 87.1°, I 104

=====

[5]
This entry pairs a crystal structure of CdH8C4S4N6 with its simulated X-ray diffraction stick pattern. Radiation: Cu Kα, 1.54184 Å. Structure: DFT lattice parameters and positions (GGA-PBE).
Kinematic intensities with the Lorentz-polarization factor, no thermal factor.

Structure:
Lattice parameters (Å, degrees): 4.126 8.038 10.247 91.03 99.15 102.17
Fractional coordinates of all 23 atoms:
Cd (0.000, 0.000, 0.000)
H (0.346, 0.899, 0.274)
H (0.385, 0.496, 0.702)
H (0.394, 0.522, 0.872)
H (0.498, 0.756, 0.384)
H (0.502, 0.244, 0.616)
H (0.606, 0.478, 0.128)
H (0.615, 0.504, 0.298)
H (0.654, 0.101, 0.726)
C (0.102, 0.179, 0.307)
C (0.479, 0.697, 0.187)
C (0.521, 0.303, 0.813)
C (0.898, 0.821, 0.693)
S (0.076, 0.310, 0.424)
S (0.404, 0.762, 0.026)
S (0.596, 0.238, 0.974)
S (0.924, 0.690, 0.576)
N (0.124, 0.081, 0.222)
N (0.413, 0.447, 0.793)
N (0.433, 0.789, 0.289)
N (0.567, 0.211, 0.711)
N (0.587, 0.553, 0.207)
N (0.876, 0.919, 0.778)

The 6 most intense peaks (2θ = 10–90°), by intensity:
2θ = 27.3°, I 1000
2θ = 14.7°, I 563
2θ = 11.3°, I 461
2θ = 13.9°, I 443
2θ = 21.4°, I 405
2θ = 30.4°, I 328

=====

[6]
This entry pairs a crystal structure of Tb2Ho6Se3 with its simulated X-ray diffraction stick pattern. Radiation: Cu Kα, 1.54184 Å. Structure: DFT lattice parameters and positions (GGA-PBE).
Kinematic intensities with the Lorentz-polarization factor, no thermal factor.

Structure:
Lattice parameters (Å, degrees): 25.247 25.247 25.247 8.57 8.57 8.57
Fractional coordinates of all 11 atoms:
Tb (0.056, 0.056, 0.056)
Tb (0.944, 0.944, 0.944)
Ho (0.142, 0.142, 0.142)
Ho (0.315, 0.315, 0.315)
Ho (0.426, 0.426, 0.426)
Ho (0.574, 0.574, 0.574)
Ho (0.685, 0.685, 0.685)
Ho (0.858, 0.858, 0.858)
Se (0.215, 0.215, 0.215)
Se (0.500, 0.500, 0.500)
Se (0.785, 0.785, 0.785)

The 6 most intense peaks (2θ = 10–90°), by intensity:
2θ = 30.3°, I 1000
2θ = 48.2°, I 486
2θ = 32.0°, I 437
2θ = 35.6°, I 347
2θ = 28.9°, I 344
2θ = 50.7°, I 210